Theoretical PXRD pattern
Compound: BaTl2RhF6
Radiation: a wavelength of 1.5418 Å
Structure: the GGA-PBE geometry in Alexandria
Kinematic intensities with the Lorentz-polarization factor, no thermal factor.

Structural model:
```
20
Lattice="6.0674 0.0000 0.0000 0.0000 9.7172 0.0000 0.0000 0.0000 7.1109" Properties=species:S:1:pos:R:3 pbc="T T T"
Ba 1.5169 2.4293 1.3479
Ba 4.5506 7.2879 5.7630
Tl 1.5169 0.4045 4.7868
Tl 1.5169 4.4541 4.7868
Tl 4.5506 5.2631 2.3241
Tl 4.5506 9.3127 2.3241
Rh 1.5169 7.2879 2.1236
Rh 4.5506 2.4293 4.9873
F 0.0312 7.2879 3.5913
F 0.0551 7.2879 0.6700
F 1.5169 0.0092 2.2266
F 1.5169 4.8494 2.2266
F 2.9786 7.2879 0.6700
F 3.0025 7.2879 3.5913
F 3.0649 2.4293 3.5196
F 3.0888 2.4293 6.4409
F 4.5506 4.8678 4.8843
F 4.5506 9.7080 4.8843
F 6.0123 2.4293 6.4409
F 6.0362 2.4293 3.5196
```

Main lines, by angle (2θ = 15–90°):
22.16°, d 4.012, intensity 10; 25.05°, d 3.555, intensity 16; 26.64°, d 3.346, intensity 100; 29.11°, d 3.068, intensity 17; 29.44°, d 3.034, intensity 26; 37.00°, d 2.429, intensity 12; 39.03°, d 2.308, intensity 17; 42.43°, d 2.130, intensity 12; 49.99°, d 1.824, intensity 16; 50.54°, d 1.806, intensity 16